Na4Al6ClO12: computed X-ray powder pattern (copper Kα), based on DFT lattice parameters and positions (PBE).

Structural model:
a b c (Å): 8.005 8.005 8.005
angles (deg): 109.47 109.47 109.47
Atoms (fractional coordinates):
1 Na 0.000 0.000 0.350
2 Na 0.000 0.350 0.000
3 Na 0.350 0.000 0.000
4 Na 0.650 0.650 0.650
5 Al 0.250 0.500 0.750
6 Al 0.250 0.750 0.500
7 Al 0.500 0.250 0.750
8 Al 0.500 0.750 0.250
9 Al 0.750 0.250 0.500
10 Al 0.750 0.500 0.250
11 Cl 0.000 0.000 0.000
12 O 0.000 0.294 0.572
13 O 0.000 0.572 0.294
14 O 0.279 0.706 0.706
15 O 0.294 0.000 0.572
16 O 0.294 0.572 0.000
17 O 0.428 0.428 0.721
18 O 0.428 0.721 0.428
19 O 0.572 0.000 0.294
20 O 0.572 0.294 0.000
21 O 0.706 0.279 0.706
22 O 0.706 0.706 0.279
23 O 0.721 0.428 0.428

Most intense lines, 2θ from 10° to 90°, in order of rising 2θ:
2θ/deg  d_spacing  intensity
13.55  6.536  29
23.58  3.773  100
30.59  2.923  9
33.59  2.668  20
36.37  2.470  26
41.45  2.179  34
56.30  1.634  16
60.06  1.540  12
61.88  1.499  14
75.60  1.258  12